(1)
Structure and simulated X-ray powder pattern of Ge19As4I4 (a cell relaxed with PBE; copper Kα).
Neutral-atom scattering factors, no anomalous dispersion.

Top 6 peaks for 10 to 90 degrees two-theta, sorted by position:
3.128 Å, rel. 29, (2 2 2); 3.005 Å, rel. 38, (3 2 0); 2.896 Å, rel. 100, (3 2 1); 1.858 Å, rel. 37, (5 3 0); 1.806 Å, rel. 21, (6 0 0); 1.758 Å, rel. 46, (5 3 2)

Structure:
```
data_Ge19As4I4
_chemical_formula_sum 'Ge38 As8 I8'
_symmetry_space_group_name_H-M 'P -4 3 n'
_symmetry_Int_Tables_number 218
_symmetry_space_group_name_Hall 'P -4n 2 3'
_cell_length_a 10.836
_cell_length_b 10.836
_cell_length_c 10.836
_cell_angle_alpha 90.00
_cell_angle_beta 90.00
_cell_angle_gamma 90.00
loop_
_atom_site_label
_atom_site_fract_x
_atom_site_fract_y
_atom_site_fract_z
Ge1 0.000 0.250 0.500
Ge2 0.003 0.117 0.310
Ge3 0.183 0.183 0.183
As1 0.184 0.184 0.816
I1 0.000 0.000 0.000
I2 0.000 0.500 0.250
```

***

(2)
Structure and simulated X-ray powder pattern of Nb7S8 (a cell relaxed with PBE; copper Kα).
Neutral-atom scattering factors, no anomalous dispersion.

Top 6 peaks for 10 to 90 degrees two-theta, sorted by position:
4.331 Å, rel. 18, (1 0 1); 2.918 Å, rel. 51, (2 0 0); 2.659 Å, rel. 20, (0 2 1); 2.165 Å, rel. 100, (2 0 2); 2.087 Å, rel. 15, (1 2 1); 1.684 Å, rel. 26, (2 2 0)

Structure:
```
data_Nb7S8
_chemical_formula_sum 'Nb7 S8'
_symmetry_space_group_name_H-M 'P 3 m 1'
_symmetry_Int_Tables_number 156
_cell_length_a 6.7378
_cell_length_b 6.7378
_cell_length_c 6.4627
_cell_angle_alpha 90.00
_cell_angle_beta 90.00
_cell_angle_gamma 120.00
loop_
_symmetry_equiv_pos_as_xyz
'x,y,z'
'-y,x-y,z'
'-x+y,-x,z'
'-y,-x,z'
'-x+y,y,z'
'x,x-y,z'
loop_
_atom_site_label
_atom_site_fract_x
_atom_site_fract_y
_atom_site_fract_z
Nb1 0.0000 0.0000 0.0000
Nb2 0.0407 0.5204 0.9954
Nb3 0.5206 0.0411 0.4979
S1 0.1636 0.3272 0.2585
S2 0.3223 0.1612 0.7479
S3 0.3333 0.6667 0.7141
S4 0.6667 0.3333 0.2152
```

***

(3)
Structure and simulated X-ray powder pattern of CsTmSeCl2O3 (a cell relaxed with PBE; copper Kα).
Neutral-atom scattering factors, no anomalous dispersion.

Top 6 peaks for 10 to 90 degrees two-theta, sorted by position:
8.830 Å, rel. 100, (0 0 2); 3.487 Å, rel. 42, (0 2 0); 3.421 Å, rel. 49, (0 2 1); 2.971 Å, rel. 50, (2 1 -2); 2.939 Å, rel. 65, (0 0 6); 2.247 Å, rel. 45, (1 0 -8)

Structure:
```
data_CsTmSeCl2O3
_chemical_formula_sum 'Cs4 Tm4 Se4 Cl8 O12'
_symmetry_space_group_name_H-M 'P 1 21/c 1'
_symmetry_Int_Tables_number 14
_cell_length_a 6.640
_cell_length_b 6.973
_cell_length_c 18.109
_cell_angle_alpha 90.00
_cell_angle_beta 102.78
_cell_angle_gamma 90.00
loop_
_symmetry_equiv_pos_as_xyz
'x,y,z'
'-x,-y,-z'
'-x,y+1/2,-z+1/2'
'x,-y+1/2,z+1/2'
loop_
_atom_site_label
_atom_site_fract_x
_atom_site_fract_y
_atom_site_fract_z
Cs1 0.247 0.210 0.054
Tm1 0.138 0.679 0.258
Se1 0.363 0.183 0.292
Cl1 0.127 0.688 0.112
Cl2 0.228 0.661 0.407
O1 0.176 0.145 0.756
O2 0.181 0.002 0.264
O3 0.488 0.675 0.273
```